The following is a theoretical PXRD pattern of LiCrP4O12. It was derived from a DFT-relaxed cell (GGA+U, the Materials Project), using Cu Ka.
Lines closer than 0.1° are merged.

Structural model:
```
data_LiCrP4O12
_chemical_formula_sum 'Li4 Cr4 P16 O48'
_symmetry_space_group_name_H-M 'C 1 2/c 1'
_symmetry_Int_Tables_number 15
_symmetry_space_group_name_Hall '-C 2yc'
_cell_length_a 15.376
_cell_length_b 7.310
_cell_length_c 9.530
_cell_angle_alpha 90.00
_cell_angle_beta 122.72
_cell_angle_gamma 90.00
loop_
_atom_site_label
_atom_site_type_symbol
_atom_site_fract_x
_atom_site_fract_y
_atom_site_fract_z
Li1 Li 0.000 0.191 0.250
Cr1 Cr 0.000 0.363 0.750
P1 P 0.130 0.072 0.637
P2 P 0.138 0.336 0.167
O1 O 0.065 0.421 0.207
O2 O 0.072 0.061 0.452
O3 O 0.100 0.207 0.723
O4 O 0.115 0.360 0.994
O5 O 0.141 0.126 0.220
O6 O 0.249 0.101 0.696
```

Principal peaks in the range 10° ≤ 2θ ≤ 80°, in order of rising 2θ:
2theta  d (Å)  I_rel  hkl
13.69  6.468  33  2 0 0
18.70  4.744  46  2 0 -2
21.17  4.196  41  3 1 -1
22.17  4.009  64  0 0 2
22.86  3.891  31  1 1 -2
23.94  3.717  30  3 1 0
27.27  3.271  100  2 2 -1
32.00  2.797  24  2 0 2